This entry pairs a crystal structure of Li2MnSiO4 with its computed PXRD pattern. Radiation: Cu Kα X-rays. Structure: a structure optimized by DFT (PBE+U).

Structural model:
Cell lengths 4.5259, 4.5259, 8.4966 Å; angles 90.00, 90.00, 90.00 degrees
Atoms (fractional coordinates):
Li (0.0000, 0.5000, 0.2500)
Li (0.0000, 0.5000, 0.7500)
Li (0.5000, 0.0000, 0.2500)
Li (0.5000, 0.0000, 0.7500)
Mn (0.0000, 0.0000, 0.0000)
Mn (0.5000, 0.5000, 0.5000)
Si (0.0000, 0.0000, 0.5000)
Si (0.5000, 0.5000, 0.0000)
O (0.2101, 0.2101, 0.3858)
O (0.2101, 0.7899, 0.6142)
O (0.2899, 0.2899, 0.8858)
O (0.2899, 0.7101, 0.1142)
O (0.7101, 0.2899, 0.1142)
O (0.7101, 0.7101, 0.8858)
O (0.7899, 0.2101, 0.6142)
O (0.7899, 0.7899, 0.3858)

Largest 10 diffraction maxima, in order of rising 2θ, 2θ = 10–90°:
Position (°2θ)  I (rel.)
20.91  55
27.88  46
35.11  100
45.41  16
46.10  12
51.65  12
57.60  16
59.71  30
61.97  9
69.28  19